1.
Diffraction record for NpBeCr2O6. The PXRD pattern is computed, not measured: it uses a DFT-relaxed cell (GGA+U, Alexandria) and CuKα.
Lines closer than 0.1° are merged.

Principal peaks in the range 15 to 90 degrees two-theta, sorted by position:
17.82°, 4.978 Å, intensity 75.6; 20.43°, 4.347 Å, intensity 49.3; 20.86°, 4.258 Å, intensity 100.0; 23.62°, 3.767 Å, intensity 42.5; 30.49°, 2.932 Å, intensity 33.6; 31.05°, 2.880 Å, intensity 32.7; 34.82°, 2.576 Å, intensity 39.5; 39.86°, 2.262 Å, intensity 33.0

Structure:
abc: 5.1032 5.1662 5.6656
angles: 65.17 90.00 61.62
Atoms (fractional coordinates):
Np (0.0000, 0.0000, 0.0000)
Be (0.4533, 0.1020, 0.3445)
Cr (0.2002, 0.5942, 0.5992)
Cr (0.6881, 0.5936, 0.1003)
O (0.1667, 0.0563, 0.3254)
O (0.2714, 0.1404, 0.7907)
O (0.4077, 0.4476, 0.3166)
O (0.5768, 0.4588, 0.8387)
O (0.7684, 0.8222, 0.3126)
O (0.9304, 0.7490, 0.8270)

2.
Diffraction record for Be2CrPb2O6. The PXRD pattern is computed, not measured: it uses a DFT-relaxed cell (GGA+U, Alexandria) and CuKα.
Lines closer than 0.1° are merged.

Principal peaks in the range 15 to 90 degrees two-theta, sorted by position:
19.93°, 4.454 Å, intensity 34.9; 22.26°, 3.995 Å, intensity 97.9; 29.87°, 2.992 Å, intensity 44.4; 33.40°, 2.683 Å, intensity 100.0; 34.57°, 2.595 Å, intensity 93.6; 37.71°, 2.385 Å, intensity 33.3; 40.50°, 2.227 Å, intensity 49.6; 60.45°, 1.531 Å, intensity 37.3

Structure:
abc: 6.0638 6.0638 6.0638
angles: 52.52 52.52 52.52
Atoms (fractional coordinates):
Be (0.0907, 0.0907, 0.0907)
Be (0.9093, 0.9093, 0.9093)
Cr (0.5000, 0.5000, 0.5000)
Pb (0.2871, 0.2871, 0.2871)
Pb (0.7129, 0.7129, 0.7129)
O (0.2449, 0.7454, 0.7454)
O (0.2546, 0.2546, 0.7551)
O (0.2546, 0.7551, 0.2546)
O (0.7454, 0.2449, 0.7454)
O (0.7454, 0.7454, 0.2449)
O (0.7551, 0.2546, 0.2546)

3.
Diffraction record for Be2CrPtO8. The PXRD pattern is computed, not measured: it uses a DFT-relaxed cell (GGA+U, Alexandria) and CuKα.
Lines closer than 0.1° are merged.

Principal peaks in the range 15 to 90 degrees two-theta, sorted by position:
19.71°, 4.504 Å, intensity 100.0; 25.65°, 3.473 Å, intensity 40.9; 34.49°, 2.601 Å, intensity 27.4; 38.59°, 2.333 Å, intensity 33.0; 43.47°, 2.082 Å, intensity 13.2; 48.36°, 1.882 Å, intensity 23.4; 52.71°, 1.737 Å, intensity 20.6; 64.52°, 1.444 Å, intensity 16.7

Structure:
abc: 5.2012 5.2012 5.4552
angles: 90.00 90.00 120.00
Atoms (fractional coordinates):
Be (0.3333, 0.6667, 0.3163)
Be (0.6667, 0.3333, 0.6837)
Cr (0.0000, 0.0000, 0.5000)
Pt (0.0000, 0.0000, 0.0000)
O (0.1073, 0.3191, 0.2551)
O (0.2117, 0.8927, 0.2551)
O (0.3191, 0.2117, 0.7449)
O (0.3333, 0.6667, 0.6265)
O (0.6667, 0.3333, 0.3735)
O (0.6809, 0.7883, 0.2551)
O (0.7883, 0.1073, 0.7449)
O (0.8927, 0.6809, 0.7449)

4.
Diffraction record for Be2CrTcO8. The PXRD pattern is computed, not measured: it uses a DFT-relaxed cell (GGA+U, Alexandria) and CuKα.
Lines closer than 0.1° are merged.

Principal peaks in the range 15 to 90 degrees two-theta, sorted by position:
19.47°, 4.559 Å, intensity 100.0; 25.78°, 3.456 Å, intensity 19.0; 34.06°, 2.632 Å, intensity 29.0; 39.33°, 2.291 Å, intensity 27.6; 43.20°, 2.094 Å, intensity 11.9; 48.77°, 1.867 Å, intensity 22.2; 52.99°, 1.728 Å, intensity 22.3; 64.51°, 1.445 Å, intensity 13.7

Structure:
abc: 5.2642 5.2642 5.2995
angles: 90.00 90.00 120.00
Atoms (fractional coordinates):
Be (0.3333, 0.6667, 0.3176)
Be (0.6667, 0.3333, 0.6824)
Cr (0.0000, 0.0000, 0.5000)
Tc (0.0000, 0.0000, 0.0000)
O (0.1618, 0.3236, 0.2317)
O (0.1618, 0.8382, 0.2317)
O (0.3236, 0.1618, 0.7683)
O (0.3333, 0.6667, 0.6249)
O (0.6667, 0.3333, 0.3751)
O (0.6764, 0.8382, 0.2317)
O (0.8382, 0.1618, 0.7683)
O (0.8382, 0.6764, 0.7683)

Q: Number 1 is which compound?
A: NpBeCr2O6